(1)
Calculated X-ray diffraction stick pattern of K2LiH2Se2O6 for Cu Kα (λ = 1.5418 Å), from a DFT-relaxed cell (PBE, Alexandria).
Lines closer than 0.1° are merged.

Structure:
a b c (Å): 5.733 6.494 7.300
angles (deg): 67.42 67.61 83.70
Fractional coordinates of all 13 atoms:
K: 0.000 0.000 0.000
K: 0.417 0.373 0.088
Li: 0.767 0.455 0.305
H: 0.025 0.502 0.931
H: 0.530 0.892 0.033
Se: 0.213 0.659 0.455
Se: 0.609 0.961 0.664
O: 0.025 0.598 0.348
O: 0.369 0.771 0.771
O: 0.513 0.699 0.259
O: 0.518 0.202 0.516
O: 0.555 0.036 0.903
O: 0.921 0.381 0.057

Most intense lines, 2θ = 5–70°, in order of rising 2θ:
5.990 Å, 2θ = 14.8°, rel. 29, hkl 0 1 0
5.296 Å, 2θ = 16.7°, rel. 25, hkl 1 0 0
4.490 Å, 2θ = 19.8°, rel. 55, hkl 1 1 1
4.055 Å, 2θ = 21.9°, rel. 40, hkl 1 -1 0
3.886 Å, 2θ = 22.9°, rel. 25, hkl 1 1 0
3.696 Å, 2θ = 24.1°, rel. 89, hkl 0 1 -1
3.454 Å, 2θ = 25.8°, rel. 100, hkl 1 1 2
3.357 Å, 2θ = 26.5°, rel. 55, hkl -1 1 1
3.277 Å, 2θ = 27.2°, rel. 27, hkl 1 0 2
3.207 Å, 2θ = 27.8°, rel. 38, hkl 0 2 1
2.844 Å, 2θ = 31.5°, rel. 37, hkl 2 0 1
2.383 Å, 2θ = 37.7°, rel. 29, hkl 2 1 0

=====

(2)
Calculated X-ray diffraction stick pattern of K2LiH2Se2O6 for Cu Kα (λ = 1.5418 Å), from a DFT-relaxed cell (PBE, Alexandria).
Lines closer than 0.1° are merged.

Structure:
a b c (Å): 5.671 6.780 7.021
angles (deg): 73.74 66.69 69.20
Fractional coordinates of all 13 atoms:
K: 0.000 0.000 0.000
K: 0.143 0.396 0.292
Li: 0.555 0.380 0.679
H: 0.593 0.500 0.291
H: 0.868 0.053 0.582
Se: 0.437 0.830 0.426
Se: 0.746 0.601 0.858
O: 0.398 0.962 0.193
O: 0.445 0.579 0.875
O: 0.450 0.542 0.429
O: 0.761 0.794 0.392
O: 0.819 0.429 0.072
O: 0.867 0.163 0.646

Most intense lines, 2θ = 5–70°, in order of rising 2θ:
6.254 Å, 2θ = 14.2°, rel. 79, hkl 0 1 0
4.778 Å, 2θ = 18.6°, rel. 46, hkl 1 0 1
4.574 Å, 2θ = 19.4°, rel. 93, hkl 1 1 0
3.422 Å, 2θ = 26.0°, rel. 76, hkl 1 0 -1
3.356 Å, 2θ = 26.6°, rel. 73, hkl 1 1 2
3.239 Å, 2θ = 27.5°, rel. 49, hkl 1 -1 1
3.181 Å, 2θ = 28.1°, rel. 39, hkl 0 0 2
3.060 Å, 2θ = 29.2°, rel. 35, hkl 1 2 0
3.006 Å, 2θ = 29.7°, rel. 100, hkl 0 2 1
2.881 Å, 2θ = 31.0°, rel. 39, hkl -1 1 1
2.829 Å, 2θ = 31.6°, rel. 50, hkl 2 1 1
2.666 Å, 2θ = 33.6°, rel. 54, hkl 0 1 -2